Record 1
For Tm2ZrPd3, a structure optimized by DFT (PBE) gives the computed XRD peak list in this record (Cu Kα (weighted mean of Kα1 and Kα2)).
Peak positions follow from Bragg's law for the DFT cell and can differ from measured ones.

Crystal structure
a b c (Å): 4.810 14.600 3.462
angles (deg): 90.00 90.00 90.00
Positions (direct):
Tm  0.250  0.083  0.001
Tm  0.250  0.417  0.001
Tm  0.750  0.583  0.999
Tm  0.750  0.917  0.999
Zr  0.250  0.750  0.999
Zr  0.750  0.250  0.001
Pd  0.250  0.250  0.501
Pd  0.250  0.596  0.499
Pd  0.250  0.904  0.499
Pd  0.750  0.096  0.501
Pd  0.750  0.404  0.501
Pd  0.750  0.750  0.499

Most intense lines, 2θ from 10° to 80°, low angle first:
24.39 deg, I 1.7
26.05 deg, I 2.1
35.98 deg, I 1.9
36.94 deg, I 100.0
37.39 deg, I 19.8
52.90 deg, I 7.3
53.58 deg, I 13.1
66.27 deg, I 6.8
66.56 deg, I 20.0
67.16 deg, I 13.8
78.64 deg, I 10.1
79.75 deg, I 2.2

=====

Record 2
For K6CrAs4, a structure optimized by DFT (PBE) gives the computed XRD peak list in this record (Cu Kα (weighted mean of Kα1 and Kα2)).
Peak positions follow from Bragg's law for the DFT cell and can differ from measured ones.

Crystal structure
a b c (Å): 10.212 10.212 8.160
angles (deg): 90.00 90.00 120.00
Positions (direct):
K  0.062  0.531  0.000
K  0.145  0.290  0.681
K  0.145  0.855  0.681
K  0.290  0.145  0.181
K  0.469  0.531  0.000
K  0.469  0.938  0.000
K  0.531  0.062  0.500
K  0.531  0.469  0.500
K  0.710  0.855  0.681
K  0.855  0.145  0.181
K  0.855  0.710  0.181
K  0.938  0.469  0.500
Cr  0.333  0.667  0.391
Cr  0.667  0.333  0.891
As  0.208  0.415  0.300
As  0.208  0.792  0.300
As  0.333  0.667  0.674
As  0.415  0.208  0.800
As  0.585  0.792  0.300
As  0.667  0.333  0.174
As  0.792  0.208  0.800
As  0.792  0.585  0.800

Most intense lines, 2θ from 10° to 80°, low angle first:
10.00 deg, I 95.4
14.77 deg, I 81.7
20.08 deg, I 27.6
28.86 deg, I 100.0
29.80 deg, I 92.5
32.29 deg, I 89.1
34.50 deg, I 59.5
34.69 deg, I 48.2
35.15 deg, I 76.0
52.56 deg, I 24.8
53.87 deg, I 21.3
56.59 deg, I 48.2

=====

Record 3
For NaCrB14, a structure optimized by DFT (PBE) gives the computed XRD peak list in this record (Cu Kα (weighted mean of Kα1 and Kα2)).
Peak positions follow from Bragg's law for the DFT cell and can differ from measured ones.

Crystal structure
a b c (Å): 7.259 7.259 7.259
angles (deg): 132.23 88.36 110.88
Positions (direct):
Na  0.405  0.155  0.250
Na  0.595  0.845  0.750
Cr  0.000  0.000  0.500
Cr  0.000  0.500  0.000
B  0.025  0.880  0.145
B  0.037  0.209  0.333
B  0.037  0.704  0.828
B  0.077  0.666  0.412
B  0.201  0.535  0.666
B  0.223  0.505  0.400
B  0.223  0.823  0.718
B  0.235  0.880  0.355
B  0.246  0.334  0.912
B  0.369  0.535  0.834
B  0.376  0.209  0.672
B  0.376  0.704  0.167
B  0.395  0.177  0.900
B  0.395  0.495  0.218
B  0.605  0.505  0.782
B  0.605  0.823  0.100
B  0.624  0.296  0.833
B  0.624  0.791  0.328
B  0.631  0.465  0.166
B  0.754  0.666  0.088
B  0.765  0.120  0.645
B  0.777  0.177  0.282
B  0.777  0.495  0.600
B  0.799  0.465  0.334
B  0.923  0.334  0.588
B  0.963  0.296  0.172
B  0.963  0.791  0.667
B  0.975  0.120  0.855

Most intense lines, 2θ from 10° to 80°, low angle first:
13.71 deg, I 100.0
17.03 deg, I 17.5
21.58 deg, I 14.0
27.62 deg, I 28.8
33.50 deg, I 42.5
33.77 deg, I 12.2
40.18 deg, I 17.5
41.02 deg, I 19.4
41.55 deg, I 25.0
41.74 deg, I 51.0
41.97 deg, I 21.0
52.73 deg, I 20.5

=====

Record 4
For AlHg2, a structure optimized by DFT (PBE) gives the computed XRD peak list in this record (Cu Kα (weighted mean of Kα1 and Kα2)).
Peak positions follow from Bragg's law for the DFT cell and can differ from measured ones.

Crystal structure
a b c (Å): 5.269 5.269 9.330
angles (deg): 103.45 103.45 34.15
Positions (direct):
Al  0.000  0.000  0.000
Al  0.563  0.563  0.262
Hg  0.117  0.117  0.555
Hg  0.312  0.312  0.320
Hg  0.415  0.415  0.711
Hg  0.725  0.725  0.952

Most intense lines, 2θ from 10° to 80°, low angle first:
18.42 deg, I 23.4
29.61 deg, I 39.5
30.01 deg, I 100.0
30.81 deg, I 90.9
31.20 deg, I 66.2
32.61 deg, I 48.9
35.07 deg, I 77.8
35.66 deg, I 83.0
40.20 deg, I 37.5
41.84 deg, I 28.5
43.14 deg, I 44.2
60.10 deg, I 29.0

=====

Record 5
For NaSnPb5, a structure optimized by DFT (PBE) gives the computed XRD peak list in this record (Cu Kα (weighted mean of Kα1 and Kα2)).
Peak positions follow from Bragg's law for the DFT cell and can differ from measured ones.

Crystal structure
a b c (Å): 5.433 5.433 7.642
angles (deg): 90.00 90.00 90.00
Positions (direct):
Na  0.000  0.000  0.000
Sn  0.000  0.000  0.500
Pb  0.000  0.500  0.273
Pb  0.000  0.500  0.727
Pb  0.500  0.000  0.273
Pb  0.500  0.000  0.727
Pb  0.500  0.500  0.000

Most intense lines, 2θ from 10° to 80°, low angle first:
20.05 deg, I 15.5
23.15 deg, I 13.2
23.28 deg, I 5.6
33.03 deg, I 100.0
38.89 deg, I 6.0
40.75 deg, I 5.5
47.32 deg, I 13.0
53.35 deg, I 5.5
58.94 deg, I 25.7
59.12 deg, I 10.6
69.37 deg, I 6.7
78.79 deg, I 11.9

=====

Record 6
For Tl2InAu, a structure optimized by DFT (PBE) gives the computed XRD peak list in this record (Cu Kα (weighted mean of Kα1 and Kα2)).
Peak positions follow from Bragg's law for the DFT cell and can differ from measured ones.

Crystal structure
a b c (Å): 4.783 4.783 6.350
angles (deg): 111.66 111.66 60.01
Positions (direct):
Tl  0.000  0.000  0.000
Tl  0.220  0.220  0.661
In  0.787  0.787  0.364
Au  0.410  0.410  0.231

Most intense lines, 2θ from 10° to 80°, low angle first:
22.07 deg, I 33.3
29.85 deg, I 29.1
30.07 deg, I 14.1
33.67 deg, I 39.5
33.91 deg, I 77.7
37.61 deg, I 100.0
51.36 deg, I 24.3
51.71 deg, I 11.9
57.86 deg, I 12.3
65.24 deg, I 11.9
65.52 deg, I 11.8
67.88 deg, I 18.0

=====

Record 7
For CeS2, a structure optimized by DFT (PBE) gives the computed XRD peak list in this record (Cu Kα (weighted mean of Kα1 and Kα2)).
Peak positions follow from Bragg's law for the DFT cell and can differ from measured ones.

Crystal structure
a b c (Å): 8.055 4.031 7.997
angles (deg): 90.00 90.17 90.00
Positions (direct):
Ce  0.222  0.219  0.130
Ce  0.222  0.281  0.630
Ce  0.778  0.719  0.370
Ce  0.778  0.781  0.870
S  0.136  0.739  0.375
S  0.136  0.761  0.875
S  0.498  0.661  0.109
S  0.498  0.839  0.609
S  0.502  0.161  0.391
S  0.502  0.339  0.891
S  0.864  0.239  0.125
S  0.864  0.261  0.625

Most intense lines, 2θ from 10° to 80°, low angle first:
22.07 deg, I 42.7
24.70 deg, I 75.5
24.86 deg, I 78.9
31.52 deg, I 70.0
33.40 deg, I 52.1
38.81 deg, I 100.0
40.38 deg, I 49.6
44.99 deg, I 27.0
45.36 deg, I 24.9
50.66 deg, I 20.4
52.32 deg, I 20.2
62.07 deg, I 24.9

=====

Record 8
For Y3AlPt3, a structure optimized by DFT (PBE) gives the computed XRD peak list in this record (Cu Kα (weighted mean of Kα1 and Kα2)).
Peak positions follow from Bragg's law for the DFT cell and can differ from measured ones.

Crystal structure
a b c (Å): 5.644 5.644 14.297
angles (deg): 90.00 90.00 138.13
Positions (direct):
Y  0.017  0.983  0.750
Y  0.292  0.708  0.607
Y  0.292  0.708  0.893
Y  0.708  0.292  0.107
Y  0.708  0.292  0.393
Y  0.983  0.017  0.250
Al  0.000  0.000  0.000
Al  0.000  0.000  0.500
Pt  0.258  0.742  0.250
Pt  0.423  0.577  0.089
Pt  0.423  0.577  0.411
Pt  0.577  0.423  0.589
Pt  0.577  0.423  0.911
Pt  0.742  0.258  0.750

Most intense lines, 2θ from 10° to 80°, low angle first:
17.94 deg, I 15.1
20.94 deg, I 16.5
23.62 deg, I 27.3
24.44 deg, I 17.9
26.75 deg, I 23.6
34.60 deg, I 46.3
37.75 deg, I 29.5
38.89 deg, I 100.0
39.06 deg, I 24.4
44.98 deg, I 37.5
60.11 deg, I 15.3
78.84 deg, I 23.0